Diffraction record for CrAg3ClO4. The powder diffraction line list is computed, not measured: it uses a crystal structure in Alexandria, relaxed with PBE+U and copper Kα.
Intensities are scaled so that the largest is 100.

Cell and atoms:
Unit cell a=7.483 b=7.483 c=5.347 alpha=90.00 beta=90.00 gamma=90.00
Space group P4/nmm (No. 129, origin choice 2)
Unique sites:
Cr 0.250 0.750 0.000 x2
Ag 0.000 0.000 0.500 x4
Ag 0.250 0.250 0.111 x2
Cl 0.250 0.250 0.633 x2
O 0.069 0.750 0.813 x8

Top 8 peaks for 10° ≤ 2θ ≤ 80°, sorted by position:
2theta	d [Å]	I_rel	hkl
29.1	3.066	100.0	2 0 1
33.5	2.673	8.8	0 0 2
33.9	2.646	41.1	2 2 0
35.7	2.517	12.3	1 0 2
38.0	2.369	11.4	2 2 1
48.4	1.881	20.2	2 2 2
48.7	1.871	19.4	4 0 0
57.7	1.597	24.8	4 2 1